Structure and calculated PXRD pattern of CaH8Pd5 (the PBE geometry in Alexandria; Cu Kα).
Peak positions follow from Bragg's law for the DFT cell and can differ from measured ones.

Atomic structure:
```
data_CaH8Pd5
_space_group_name_H-M_alt 'P -1'
_space_group_IT_number 2
_cell_length_a 4.9011
_cell_length_b 5.2192
_cell_length_c 5.7217
_cell_angle_alpha 93.69
_cell_angle_beta 92.49
_cell_angle_gamma 105.01
loop_
_space_group_symop_operation_xyz
'x,y,z'
'-x,-y,-z'
loop_
_atom_site_label
_atom_site_type_symbol
_atom_site_fract_x
_atom_site_fract_y
_atom_site_fract_z
Ca1 Ca 0.0000 0.0000 0.0000
H1 H 0.1268 0.5977 0.8491
H2 H 0.1570 0.7225 0.4225
H3 H 0.3412 0.2374 0.3613
H4 H 0.3962 0.1851 0.7563
Pd1 Pd 0.2262 0.4150 0.6079
Pd2 Pd 0.2664 0.5744 0.1334
Pd3 Pd 0.5000 0.0000 0.5000
```

Principal peaks in the range 2θ from 15° to 90°, most intense first:
hkl, 2theta, I (rel.)
0 1 0, 17.65, 100
2 -1 0, 37.57, 91
0 2 0, 35.75, 88
1 -2 1, 38.58, 67
1 0 2, 37.88, 60
-1 1 2, 38.96, 49
1 1 1, 34.43, 46
1 1 -2, 41.32, 42
1 1 -1, 31.92, 41
-1 2 1, 39.92, 40